[1]
# SiH2SeS
Simulated X-ray diffraction stick pattern, Cu Kα, 1.54184 Å. Input: a DFT-relaxed cell (GGA-PBE, Alexandria).
Neutral-atom scattering factors, no anomalous dispersion.

Largest 12 diffraction maxima, low angle first, 15° ≤ 2θ ≤ 90°:
| d_spacing | I_rel |
| --- | --- |
| 5.568 | 61 |
| 4.854 | 100 |
| 3.586 | 19 |
| 3.115 | 22 |
| 3.052 | 29 |
| 3.038 | 17 |
| 2.994 | 39 |
| 2.933 | 21 |
| 2.868 | 15 |
| 2.521 | 16 |
| 2.238 | 14 |
| 1.774 | 15 |

Structure:
a = 3.556 Å, b = 5.837 Å, c = 6.282 Å
α = 72.71°, β = 86.45°, γ = 86.54°
Fractional coordinates of all 5 atoms:
Si: 0.000 0.000 0.000
H: 0.052 0.776 0.932
H: 0.706 0.070 0.369
Se: 0.497 0.246 0.840
S: 0.943 0.884 0.357

***

[2]
# SiHS2
Simulated X-ray diffraction stick pattern, Cu Kα, 1.54184 Å. Input: a DFT-relaxed cell (GGA-PBE, Alexandria).
Neutral-atom scattering factors, no anomalous dispersion.

Largest 12 diffraction maxima, low angle first, 15° ≤ 2θ ≤ 90°:
| d_spacing | I_rel |
| --- | --- |
| 5.580 | 20 |
| 2.990 | 17 |
| 2.775 | 100 |
| 2.755 | 54 |
| 2.368 | 37 |
| 2.359 | 24 |
| 2.229 | 25 |
| 2.065 | 58 |
| 1.861 | 29 |
| 1.823 | 18 |
| 1.682 | 19 |
| 1.540 | 18 |

Structure:
a = 8.490 Å, b = 8.490 Å, c = 8.490 Å
α = 138.76°, β = 47.88°, γ = 156.74°
Fractional coordinates of all 8 atoms:
Si: 0.000 0.000 0.000
Si: 0.000 0.500 0.500
H: 0.172 0.076 0.596
H: 0.480 0.576 0.404
S: 0.078 0.204 0.374
S: 0.443 0.751 0.192
S: 0.559 0.251 0.808
S: 0.829 0.704 0.626

***

[3]
# Si2H2S3
Simulated X-ray diffraction stick pattern, Cu Kα, 1.54184 Å. Input: a DFT-relaxed cell (GGA-PBE, Alexandria).
Neutral-atom scattering factors, no anomalous dispersion.

Largest 12 diffraction maxima, low angle first, 15° ≤ 2θ ≤ 90°:
| d_spacing | I_rel |
| --- | --- |
| 5.782 | 100 |
| 3.735 | 34 |
| 3.657 | 24 |
| 3.597 | 64 |
| 3.398 | 84 |
| 3.054 | 93 |
| 2.861 | 87 |
| 1.976 | 42 |
| 1.945 | 26 |
| 1.822 | 31 |
| 1.717 | 25 |
| 1.580 | 22 |

Structure:
a = 8.177 Å, b = 8.177 Å, c = 9.186 Å
α = 90.00°, β = 90.00°, γ = 90.00°
Fractional coordinates of all 28 atoms:
Si: 0.065 0.194 0.372
Si: 0.194 0.935 0.628
Si: 0.306 0.435 0.872
Si: 0.435 0.694 0.128
Si: 0.565 0.306 0.128
Si: 0.694 0.565 0.872
Si: 0.806 0.065 0.628
Si: 0.935 0.806 0.372
H: 0.110 0.335 0.279
H: 0.165 0.390 0.779
H: 0.335 0.890 0.721
H: 0.390 0.835 0.221
H: 0.610 0.165 0.221
H: 0.665 0.110 0.721
H: 0.835 0.610 0.779
H: 0.890 0.665 0.279
S: 0.000 0.000 0.225
S: 0.000 0.000 0.775
S: 0.139 0.722 0.500
S: 0.222 0.639 0.000
S: 0.278 0.139 0.500
S: 0.361 0.222 0.000
S: 0.500 0.500 0.275
S: 0.500 0.500 0.725
S: 0.639 0.778 0.000
S: 0.722 0.861 0.500
S: 0.778 0.361 0.000
S: 0.861 0.278 0.500

***

[4]
# SnH2S3
Simulated X-ray diffraction stick pattern, Cu Kα, 1.54184 Å. Input: a DFT-relaxed cell (GGA-PBE, Alexandria).
Neutral-atom scattering factors, no anomalous dispersion.

Largest 12 diffraction maxima, low angle first, 15° ≤ 2θ ≤ 90°:
| d_spacing | I_rel |
| --- | --- |
| 5.819 | 100 |
| 5.693 | 76 |
| 4.891 | 60 |
| 4.509 | 59 |
| 4.038 | 49 |
| 3.725 | 35 |
| 3.601 | 33 |
| 3.536 | 20 |
| 3.225 | 26 |
| 2.908 | 25 |
| 2.620 | 24 |
| 2.606 | 29 |

Structure:
a = 6.604 Å, b = 7.247 Å, c = 7.731 Å
α = 92.41°, β = 102.53°, γ = 116.66°
Fractional coordinates of all 12 atoms:
Sn: 0.099 0.141 0.346
Sn: 0.901 0.859 0.654
H: 0.160 0.635 0.711
H: 0.386 0.971 0.257
H: 0.614 0.029 0.743
H: 0.840 0.365 0.289
S: 0.052 0.437 0.253
S: 0.266 0.174 0.669
S: 0.352 0.118 0.170
S: 0.648 0.882 0.830
S: 0.734 0.826 0.331
S: 0.948 0.563 0.747

***

[5]
# Sn4H3S4
Simulated X-ray diffraction stick pattern, Cu Kα, 1.54184 Å. Input: a DFT-relaxed cell (GGA-PBE, Alexandria).
Neutral-atom scattering factors, no anomalous dispersion.

Largest 12 diffraction maxima, low angle first, 15° ≤ 2θ ≤ 90°:
| d_spacing | I_rel |
| --- | --- |
| 5.774 | 100 |
| 4.418 | 95 |
| 3.660 | 73 |
| 3.416 | 47 |
| 3.377 | 59 |
| 2.965 | 64 |
| 2.887 | 51 |
| 2.754 | 88 |
| 2.688 | 48 |
| 2.638 | 87 |
| 2.584 | 79 |
| 2.020 | 38 |

Structure:
a = 3.554 Å, b = 6.108 Å, c = 11.213 Å
α = 79.62°, β = 89.82°, γ = 74.22°
Fractional coordinates of all 11 atoms:
Sn: 0.000 0.000 0.000
Sn: 0.016 0.983 0.510
Sn: 0.681 0.612 0.290
Sn: 0.700 0.582 0.785
H: 0.261 0.440 0.308
H: 0.280 0.412 0.811
H: 0.439 0.149 0.497
S: 0.023 0.951 0.273
S: 0.040 0.926 0.762
S: 0.653 0.671 0.044
S: 0.678 0.637 0.545

***

[6]
# Ta2HS3
Simulated X-ray diffraction stick pattern, Cu Kα, 1.54184 Å. Input: a DFT-relaxed cell (GGA-PBE, Alexandria).
Neutral-atom scattering factors, no anomalous dispersion.

Largest 12 diffraction maxima, low angle first, 15° ≤ 2θ ≤ 90°:
| d_spacing | I_rel |
| --- | --- |
| 3.122 | 28 |
| 2.894 | 28 |
| 2.864 | 100 |
| 2.767 | 24 |
| 2.710 | 68 |
| 2.653 | 36 |
| 2.527 | 39 |
| 2.389 | 22 |
| 2.283 | 33 |
| 1.972 | 23 |
| 1.854 | 34 |
| 1.647 | 32 |

Structure:
a = 8.141 Å, b = 8.141 Å, c = 9.886 Å
α = 122.12°, β = 122.12°, γ = 23.35°
Fractional coordinates of all 12 atoms:
Ta: 0.071 0.071 0.461
Ta: 0.349 0.349 0.181
Ta: 0.651 0.651 0.819
Ta: 0.929 0.929 0.539
H: 0.083 0.083 0.674
H: 0.917 0.917 0.326
S: 0.162 0.162 0.013
S: 0.297 0.297 0.381
S: 0.472 0.472 0.753
S: 0.528 0.528 0.247
S: 0.703 0.703 0.619
S: 0.838 0.838 0.987

***

Number 1 is which compound? SiH2SeS